This entry pairs a crystal structure of ThAlAg2 with its computed XRD peak list. Radiation: CuKα. Structure: a DFT-relaxed cell (GGA-PBE, Alexandria).
Neutral-atom scattering factors, no anomalous dispersion.

Peak list (10 most intense, 5 to 70 degrees two-theta, in order of falling intensity)
| two_theta | d (Å) | I/Imax | h k l |
| --- | --- | --- | --- |
| 33.23 | 2.696 | 100 | 1 5 0 |
| 27.95 | 3.193 | 57 | 1 1 2 |
| 35.31 | 2.542 | 54 | 1 1 3 |
| 31.81 | 2.813 | 52 | 1 3 2 |
| 40.01 | 2.254 | 41 | 2 0 0 |
| 43.33 | 2.088 | 24 | 0 6 3 |
| 65.24 | 1.430 | 21 | 1 3 6 |
| 21.68 | 4.100 | 20 | 0 2 2 |
| 60.43 | 1.532 | 17 | 2 6 3 |
| 35.76 | 2.511 | 17 | 0 4 3 |

Atomic structure:
abc: 4.5073 16.8198 9.3918
angles: 90.00 90.00 90.00
Space group Cmcm (No. 63)
Asymmetric unit:
Th1 0.0000 0.0000 0.0000
Th2 0.0000 0.2001 0.2500
Al1 0.0000 0.3548 0.5204
Ag1 0.0000 0.1918 0.5966
Ag2 0.0000 0.3969 0.2500
Ag3 0.0000 0.4417 0.7500